Entry 1:
This entry pairs a crystal structure of Na3CoO2 with its computed powder XRD pattern. Radiation: Cu Kα. Structure: DFT lattice parameters and positions (GGA+U).
Intensities are scaled so that the largest is 100.

Main lines, sorted by position (10 to 90 degrees two-theta):
2θ = 18.78°, I 17
2θ = 21.02°, I 40
2θ = 21.22°, I 64
2θ = 23.23°, I 36
2θ = 34.22°, I 16
2θ = 34.34°, I 100
2θ = 38.54°, I 49
2θ = 40.50°, I 60
2θ = 52.18°, I 15
2θ = 57.15°, I 39
2θ = 58.64°, I 18
2θ = 69.73°, I 19

Structure:
Cell lengths 9.449, 9.449, 4.671 Å; angles 90.00, 90.00, 90.00 degrees
Positions (direct):
Na 0.026 0.342 0.000
Na 0.141 0.859 0.500
Na 0.158 0.526 0.500
Na 0.342 0.026 0.000
Na 0.359 0.359 0.000
Na 0.474 0.842 0.500
Na 0.526 0.158 0.500
Na 0.641 0.641 0.000
Na 0.658 0.974 0.000
Na 0.842 0.474 0.500
Na 0.859 0.141 0.500
Na 0.974 0.658 0.000
Co 0.177 0.177 0.500
Co 0.323 0.677 0.000
Co 0.677 0.323 0.000
Co 0.823 0.823 0.500
O 0.040 0.305 0.500
O 0.195 0.540 0.000
O 0.305 0.040 0.500
O 0.460 0.805 0.000
O 0.540 0.195 0.000
O 0.695 0.960 0.500
O 0.805 0.460 0.000
O 0.960 0.695 0.500

Entry 2:
This entry pairs a crystal structure of Na2CoO3 with its computed powder XRD pattern. Radiation: Cu Kα. Structure: DFT lattice parameters and positions (GGA+U).
Intensities are scaled so that the largest is 100.

Main lines, sorted by position (10 to 90 degrees two-theta):
2θ = 16.71°, I 93
2θ = 18.90°, I 32
2θ = 20.01°, I 50
2θ = 30.11°, I 20
2θ = 32.92°, I 34
2θ = 33.78°, I 25
2θ = 34.27°, I 28
2θ = 36.27°, I 100
2θ = 41.22°, I 77
2θ = 41.64°, I 65
2θ = 55.40°, I 22
2θ = 56.70°, I 24

Structure:
Cell lengths 5.278, 5.482, 5.831 Å; angles 105.48, 100.99, 112.53 degrees
Positions (direct):
Na 0.000 0.000 0.000
Na 0.154 0.835 0.519
Na 0.500 0.500 0.500
Na 0.846 0.165 0.481
Co 0.306 0.639 0.026
Co 0.694 0.361 0.974
O 0.044 0.428 0.201
O 0.318 0.334 0.795
O 0.390 0.979 0.219
O 0.610 0.021 0.781
O 0.682 0.666 0.205
O 0.956 0.572 0.799

Entry 3:
This entry pairs a crystal structure of Na4CoO5 with its computed powder XRD pattern. Radiation: Cu Kα. Structure: DFT lattice parameters and positions (GGA+U).
Intensities are scaled so that the largest is 100.

Main lines, sorted by position (10 to 90 degrees two-theta):
2θ = 17.53°, I 73
2θ = 21.58°, I 69
2θ = 24.89°, I 14
2θ = 33.17°, I 78
2θ = 35.67°, I 72
2θ = 39.84°, I 100
2θ = 54.53°, I 60
2θ = 57.60°, I 29
2θ = 62.49°, I 21
2θ = 68.11°, I 29
2θ = 69.62°, I 23
2θ = 89.00°, I 9

Structure:
Cell lengths 5.652, 5.652, 5.652 Å; angles 101.44, 101.44, 127.10 degrees
Positions (direct):
Na 0.094 0.708 0.803
Na 0.292 0.094 0.386
Na 0.708 0.906 0.614
Na 0.906 0.292 0.197
Co 0.457 0.457 0.000
O 0.095 0.095 0.000
O 0.285 0.453 0.689
O 0.453 0.765 0.169
O 0.596 0.285 0.831
O 0.765 0.596 0.311

Entry 4:
This entry pairs a crystal structure of Na3Co4O8 with its computed powder XRD pattern. Radiation: Cu Kα. Structure: DFT lattice parameters and positions (GGA+U).
Intensities are scaled so that the largest is 100.

Main lines, sorted by position (10 to 90 degrees two-theta):
2θ = 16.27°, I 100
2θ = 32.88°, I 17
2θ = 36.15°, I 17
2θ = 39.88°, I 33
2θ = 40.28°, I 18
2θ = 44.16°, I 13
2θ = 49.67°, I 31
2θ = 50.01°, I 14
2θ = 63.45°, I 14
2θ = 63.74°, I 7
2θ = 65.59°, I 11
2θ = 68.09°, I 8

Structure:
Cell lengths 2.880, 10.895, 9.823 Å; angles 90.00, 90.00, 90.00 degrees
Positions (direct):
Na 0.250 0.250 0.005
Na 0.250 0.750 0.354
Na 0.250 0.750 0.696
Na 0.750 0.250 0.304
Na 0.750 0.250 0.646
Na 0.750 0.750 0.995
Co 0.250 0.005 0.376
Co 0.250 0.495 0.376
Co 0.250 0.503 0.874
Co 0.250 0.997 0.874
Co 0.750 0.003 0.126
Co 0.750 0.497 0.126
Co 0.750 0.505 0.624
Co 0.750 0.995 0.624
O 0.250 0.085 0.707
O 0.250 0.097 0.207
O 0.250 0.403 0.207
O 0.250 0.415 0.707
O 0.250 0.588 0.045
O 0.250 0.592 0.538
O 0.250 0.908 0.538
O 0.250 0.912 0.045
O 0.750 0.088 0.955
O 0.750 0.092 0.462
O 0.750 0.408 0.462
O 0.750 0.412 0.955
O 0.750 0.585 0.293
O 0.750 0.597 0.793
O 0.750 0.903 0.793
O 0.750 0.915 0.293

Entry 5:
This entry pairs a crystal structure of NaCo2O3 with its computed powder XRD pattern. Radiation: Cu Kα. Structure: DFT lattice parameters and positions (GGA+U).
Intensities are scaled so that the largest is 100.

Main lines, sorted by position (10 to 90 degrees two-theta):
2θ = 17.29°, I 33
2θ = 24.53°, I 17
2θ = 29.80°, I 27
2θ = 29.96°, I 22
2θ = 30.41°, I 32
2θ = 34.60°, I 36
2θ = 34.76°, I 100
2θ = 35.14°, I 34
2θ = 52.70°, I 18
2θ = 53.56°, I 16
2θ = 62.28°, I 28
2θ = 64.72°, I 22

Structure:
Cell lengths 5.878, 5.159, 5.967 Å; angles 90.00, 119.16, 90.00 degrees
Positions (direct):
Na 0.002 0.000 0.172
Na 0.998 0.500 0.828
Co 0.332 0.486 0.506
Co 0.337 0.976 0.826
Co 0.663 0.476 0.174
Co 0.668 0.986 0.494
O 0.015 0.530 0.224
O 0.386 0.111 0.543
O 0.393 0.592 0.831
O 0.607 0.092 0.169
O 0.614 0.611 0.457
O 0.985 0.030 0.776

Entry 6:
This entry pairs a crystal structure of Na4Co7O14 with its computed powder XRD pattern. Radiation: Cu Kα. Structure: DFT lattice parameters and positions (GGA+U).
Intensities are scaled so that the largest is 100.

Main lines, sorted by position (10 to 90 degrees two-theta):
2θ = 15.93°, I 100
2θ = 32.17°, I 13
2θ = 36.60°, I 18
2θ = 40.14°, I 41
2θ = 44.24°, I 12
2θ = 49.52°, I 35
2θ = 62.79°, I 19
2θ = 65.89°, I 13
2θ = 68.28°, I 10
2θ = 75.23°, I 6
2θ = 79.13°, I 7
2θ = 86.69°, I 6

Structure:
Cell lengths 7.501, 7.501, 11.128 Å; angles 90.00, 90.00, 120.00 degrees
Positions (direct):
Na 0.000 0.000 0.250
Na 0.000 0.000 0.750
Na 0.042 0.590 0.250
Na 0.410 0.452 0.250
Na 0.452 0.042 0.750
Na 0.548 0.958 0.250
Na 0.590 0.548 0.750
Na 0.958 0.410 0.750
Co 0.000 0.000 0.000
Co 0.000 0.000 0.500
Co 0.144 0.428 0.002
Co 0.144 0.428 0.498
Co 0.285 0.856 0.002
Co 0.285 0.856 0.498
Co 0.428 0.285 0.502
Co 0.428 0.285 0.998
Co 0.572 0.715 0.002
Co 0.572 0.715 0.498
Co 0.715 0.144 0.502
Co 0.715 0.144 0.998
Co 0.856 0.572 0.502
Co 0.856 0.572 0.998
O 0.046 0.807 0.089
O 0.046 0.807 0.411
O 0.096 0.620 0.584
O 0.096 0.620 0.916
O 0.193 0.238 0.089
O 0.193 0.238 0.411
O 0.238 0.046 0.589
O 0.238 0.046 0.911
O 0.333 0.667 0.094
O 0.333 0.667 0.406
O 0.380 0.477 0.584
O 0.380 0.477 0.916
O 0.477 0.096 0.084
O 0.477 0.096 0.416
O 0.523 0.904 0.584
O 0.523 0.904 0.916
O 0.620 0.523 0.084
O 0.620 0.523 0.416
O 0.667 0.333 0.594
O 0.667 0.333 0.906
O 0.762 0.954 0.089
O 0.762 0.954 0.411
O 0.807 0.762 0.589
O 0.807 0.762 0.911
O 0.904 0.380 0.084
O 0.904 0.380 0.416
O 0.954 0.193 0.589
O 0.954 0.193 0.911